1.
KDyGeTe3: theoretical X-ray powder pattern (a wavelength of 1.5418 Å), based on DFT lattice parameters and positions (GGA-PBE).
Intensities are scaled so that the largest is 100.

Crystal structure
Lattice parameters (Å, degrees): 9.212 4.295 11.701 90.00 109.50 90.00
Space group P2_1/m (No. 11)
Unique sites:
K  0.232  0.250  0.280
Dy  0.364  0.750  0.841
Ge  0.118  0.250  0.553
Te  0.106  0.250  0.780
Te  0.330  0.750  0.566
Te  0.385  0.750  0.108

The 12 most intense peaks (2θ from 10° to 90°), sorted by position:
d_spacing	2θ (°)	intensity
8.684	10.19	15.6
8.301	10.66	92.7
3.677	24.21	25.8
3.478	25.61	21.6
3.054	29.25	100.0
2.925	30.56	46.6
2.678	33.46	20.0
2.493	36.02	18.0
2.147	42.08	21.7
2.125	42.54	31.8
2.100	43.08	30.6
1.731	52.91	24.5

2.
La2Dy3Ge4: theoretical X-ray powder pattern (a wavelength of 1.5418 Å), based on DFT lattice parameters and positions (GGA-PBE).
Intensities are scaled so that the largest is 100.

Crystal structure
Lattice parameters (Å, degrees): 7.961 7.993 7.728 90.00 109.56 90.00
Space group P2_1/c (No. 14)
Unique sites:
La  0.194  0.178  0.071
Dy  0.247  0.669  0.249
Dy  0.500  0.000  0.500
Ge  0.084  0.539  0.854
Ge  0.493  0.132  0.865

The 12 most intense peaks (2θ from 10° to 90°), sorted by position:
d_spacing	2θ (°)	intensity
2.995	29.83	18.9
2.973	30.06	23.7
2.795	32.02	65.1
2.772	32.29	19.6
2.760	32.44	26.6
2.737	32.72	100.0
2.502	35.90	56.3
2.486	36.13	17.5
2.452	36.65	48.9
2.375	37.88	19.8
1.740	52.59	16.8
1.655	55.52	17.4

3.
La5Dy2Ge4: theoretical X-ray powder pattern (a wavelength of 1.5418 Å), based on DFT lattice parameters and positions (GGA-PBE).
Intensities are scaled so that the largest is 100.

Crystal structure
Lattice parameters (Å, degrees): 21.585 3.890 8.544 90.00 94.94 90.00
Space group C2/m (No. 12)
Unique sites:
La  0.000  0.000  0.000
La  0.100  0.500  0.430
La  0.162  0.500  0.970
Dy  0.234  0.000  0.661
Ge  0.030  0.500  0.733
Ge  0.105  0.000  0.717

The 12 most intense peaks (2θ from 10° to 90°), sorted by position:
d_spacing	2θ (°)	intensity
6.411	13.81	37.3
3.471	25.66	66.4
3.412	26.12	40.3
3.219	27.72	49.6
3.206	27.83	100.0
2.867	31.20	58.2
2.837	31.53	39.9
2.825	31.68	57.8
2.721	32.92	51.5
2.614	34.31	53.7
2.362	38.10	37.0
1.945	46.69	45.0

Q: Number 2 is which compound?
A: La2Dy3Ge4